Starting from a PBE-relaxed structure, the powder X-ray diffraction pattern of Tb8As3AuSe4 was simulated for Cu Kα X-rays.
No peak broadening, texture or thermal motion is included.

Cell and atoms:
a = 8.2783 Å, b = 8.2783 Å, c = 8.2783 Å
α = 59.77°, β = 59.77°, γ = 59.77°
Atoms (fractional coordinates):
1 Tb 0.2444 0.7501 0.7501
2 Tb 0.2459 0.2459 0.2459
3 Tb 0.2499 0.2499 0.7556
4 Tb 0.2499 0.7556 0.2499
5 Tb 0.7501 0.2444 0.7501
6 Tb 0.7501 0.7501 0.2444
7 Tb 0.7541 0.7541 0.7541
8 Tb 0.7556 0.2499 0.2499
9 As 0.0000 0.0000 0.5000
10 As 0.0000 0.5000 0.0000
11 As 0.5000 0.0000 0.0000
12 Au 0.5000 0.5000 0.5000
13 Se 0.0000 0.0000 0.0000
14 Se 0.0000 0.5000 0.5000
15 Se 0.5000 0.0000 0.5000
16 Se 0.5000 0.5000 0.0000

Top 10 peaks for 10° ≤ 2θ ≤ 80°, in order of rising 2θ:
- d = 3.370 Å, 26.5°, I 9.2
- d = 2.922 Å, 30.6°, I 100.0
- d = 2.070 Å, 43.7°, I 37.3
- d = 2.062 Å, 43.9°, I 37.2
- d = 1.761 Å, 51.9°, I 4.4
- d = 1.693 Å, 54.2°, I 6.5
- d = 1.685 Å, 54.5°, I 19.7
- d = 1.461 Å, 63.7°, I 12.1
- d = 1.308 Å, 72.2°, I 16.6
- d = 1.305 Å, 72.4°, I 16.8